# 1
Starting from a structure optimized by DFT (PBE), the powder X-ray diffraction pattern of RbLaCo2Cl8 was simulated for Cu Kα.
Neutral-atom scattering factors, no anomalous dispersion.

Largest 10 diffraction maxima, most intense first, 15 to 90 degrees two-theta:
hkl	two_theta	I_rel
1 0 4	19.7	100
2 -1 12	46.1	43
1 1 0	27.1	41
1 1 6	32.8	38
3 0 0	47.9	33
0 1 8	28.8	31
0 2 4	33.7	26
2 -1 3	28.6	25
3 -1 4	43.8	25
0 2 16	59.8	16

Structure:
a = 6.5806 Å, b = 6.5806 Å, c = 29.4929 Å
α = 90.00°, β = 90.00°, γ = 120.00°
Space group R-3 (No. 148, hexagonal axes)
Inequivalent atoms, fractional coordinates:
Rb (0.0000, 0.0000, 0.0000) x3
La (0.0000, 0.0000, 0.5000) x3
Co (0.0000, 0.0000, 0.2494) x6
Cl (0.0000, 0.0000, 0.3235) x6
Cl (0.0018, 0.3453, 0.4434) x18

# 2
Starting from a structure optimized by DFT (PBE), the powder X-ray diffraction pattern of PmTm4Ir4 was simulated for Cu Kα.
Neutral-atom scattering factors, no anomalous dispersion.

Largest 10 diffraction maxima, most intense first, 15 to 90 degrees two-theta:
hkl	two_theta	I_rel
1 3 0	31.8	100
1 0 2	33.6	52
3 0 2	44.5	36
4 2 0	45.6	29
3 2 2	49.3	28
1 2 2	39.4	23
2 3 1	40.0	23
4 1 1	45.1	16
1 0 1	18.7	15
2 0 0	20.0	13

Structure:
a = 8.8919 Å, b = 8.8919 Å, c = 5.5941 Å
α = 90.00°, β = 90.00°, γ = 90.00°
Space group P4_2/n (No. 86, origin choice 2)
Inequivalent atoms, fractional coordinates:
Pm (0.2500, 0.2500, 0.2500) x2
Tm (0.0850, 0.6546, 0.1433) x8
Ir (0.0355, 0.6145, 0.6458) x8

Q: Which formula does entry 2 have?
A: PmTm4Ir4